The following is a theoretical powder diffraction line list of NbP2S8. It was derived from a PBE-relaxed structure, using Cu Kα X-rays.
Intensities are scaled so that the largest is 100.

Top 10 peaks for 2θ = 15–90°, in order of rising 2θ:
hkl 1 1 1, 2θ 15.87, rel. 22; hkl 2 1 0, 2θ 16.26, rel. 61; hkl 3 1 1, 2θ 26.11, rel. 44; hkl 3 3 0, 2θ 31.12, rel. 28; hkl 2 2 2, 2θ 32.05, rel. 25; hkl 3 3 1, 2θ 33.50, rel. 25; hkl 3 2 2, 2θ 36.14, rel. 100; hkl 5 1 0, 2θ 37.59, rel. 31; hkl 5 0 1, 2θ 38.93, rel. 28; hkl 5 2 2, 2θ 47.18, rel. 25

Crystal structure
Unit cell a=12.191 b=12.191 c=7.332 alpha=90.00 beta=90.00 gamma=90.00
Sites, in units of the cell vectors:
Nb1 0.084 0.416 0.250
Nb2 0.416 0.916 0.750
Nb3 0.584 0.084 0.750
Nb4 0.916 0.584 0.250
P1 0.075 0.173 0.425
P2 0.173 0.925 0.575
P3 0.327 0.425 0.075
P4 0.425 0.673 0.925
P5 0.575 0.327 0.925
P6 0.673 0.575 0.075
P7 0.827 0.075 0.575
P8 0.925 0.827 0.425
S1 0.009 0.775 0.206
S2 0.021 0.855 0.662
S3 0.059 0.559 0.004
S4 0.059 0.559 0.496
S5 0.145 0.021 0.338
S6 0.185 0.286 0.495
S7 0.214 0.315 0.005
S8 0.225 0.009 0.794
S9 0.275 0.509 0.294
S10 0.286 0.815 0.505
S11 0.315 0.786 0.995
S12 0.355 0.521 0.838
S13 0.441 0.059 0.504
S14 0.441 0.059 0.996
S15 0.479 0.355 0.162
S16 0.491 0.275 0.706
S17 0.509 0.725 0.706
S18 0.521 0.645 0.162
S19 0.559 0.941 0.504
S20 0.559 0.941 0.996
S21 0.645 0.479 0.838
S22 0.685 0.214 0.995
S23 0.714 0.185 0.505
S24 0.725 0.491 0.294
S25 0.775 0.991 0.794
S26 0.786 0.685 0.005
S27 0.815 0.714 0.495
S28 0.855 0.979 0.338
S29 0.941 0.441 0.004
S30 0.941 0.441 0.496
S31 0.979 0.145 0.662
S32 0.991 0.225 0.206